# CaDyNi10
Simulated PXRD pattern, Cu Kα, 1.54184 Å. Input: a DFT-relaxed cell (GGA-PBE, Alexandria).
No peak broadening, texture or thermal motion is included.

Most intense lines, 10° ≤ 2θ ≤ 90°, in order of rising 2θ:
h k l	two_theta	I_rel
0 0 1	10.4	22
1 1 1	30.9	30
0 2 0	36.7	26
0 0 4	42.6	32
1 2 0	43.5	100
2 0 0	46.0	29
1 2 2	48.7	20
2 0 4	64.5	18
1 3 3	70.7	14
3 2 0	83.3	14

Cell and atoms:
```
CaDyNi10
1.0
3.949 0.000 0.000
0.000 4.905 0.000
0.000 0.000 8.478
Ca Dy Ni
1 1 10
direct
0.000 0.000 0.000 Ca
0.000 0.500 0.500 Dy
0.000 0.000 0.335 Ni
0.000 0.000 0.665 Ni
0.000 0.500 0.169 Ni
0.000 0.500 0.831 Ni
0.500 0.000 0.500 Ni
0.500 0.253 0.253 Ni
0.500 0.253 0.747 Ni
0.500 0.500 0.000 Ni
0.500 0.747 0.253 Ni
0.500 0.747 0.747 Ni
```